The following is a calculated powder diffraction line list of Fe9O10. It was derived from a DFT-relaxed cell (GGA+U, Alexandria), using Cu Kα X-rays.

Main lines, by angle (2θ = 5–70°):
17.61°, d 5.036, intensity 12, hkl 0 1 -1
35.61°, d 2.521, intensity 89, hkl 2 0 -1
35.79°, d 2.509, intensity 87, hkl -1 2 1
41.14°, d 2.194, intensity 100, hkl 2 -2 1
41.39°, d 2.181, intensity 97, hkl 1 0 -3
41.84°, d 2.159, intensity 97, hkl 1 2 0
59.69°, d 1.549, intensity 29, hkl -3 2 2
59.88°, d 1.545, intensity 27, hkl 1 -2 4
60.11°, d 1.539, intensity 81, hkl 1 -4 1
60.55°, d 1.529, intensity 27, hkl 0 2 3

Structural model:
a = 5.368 Å, b = 6.154 Å, c = 6.896 Å
α = 103.27°, β = 97.48°, γ = 107.40°
Sites, in units of the cell vectors:
Fe1 0.000 0.000 0.000
Fe2 0.192 0.889 0.388
Fe3 0.201 0.404 0.386
Fe4 0.381 0.794 0.800
Fe5 0.409 0.305 0.804
Fe6 0.591 0.695 0.196
Fe7 0.619 0.206 0.200
Fe8 0.799 0.596 0.614
Fe9 0.808 0.111 0.612
O1 0.111 0.946 0.705
O2 0.122 0.447 0.682
O3 0.324 0.330 0.112
O4 0.330 0.868 0.097
O5 0.500 0.234 0.484
O6 0.500 0.766 0.516
O7 0.670 0.132 0.903
O8 0.676 0.670 0.888
O9 0.878 0.553 0.318
O10 0.889 0.054 0.295